For LiWAu, a PBE-relaxed structure gives the simulated PXRD pattern in this record (CuKα).
Peak positions follow from Bragg's law for the DFT cell and can differ from measured ones.

```
data_LiWAu
_space_group_name_H-M_alt 'I 4 m m'
_space_group_IT_number 107
_space_group_name_Hall 'I 4 -2'
_cell_length_a 2.736
_cell_length_b 2.736
_cell_length_c 12.535
_cell_angle_alpha 90.00
_cell_angle_beta 90.00
_cell_angle_gamma 90.00
loop_
_atom_site_label
_atom_site_fract_x
_atom_site_fract_y
_atom_site_fract_z
_atom_site_occupancy
Li1 0.000 0.000 0.000 1
W1 0.000 0.000 0.330 1
Au1 0.000 0.000 0.654 1
```

The 10 most intense peaks (10 to 80 degrees two-theta), by angle:
- (0 0 2), 2θ = 14.13°, I = 55
- (0 0 4), 2θ = 28.48°, I = 19
- (1 0 1), 2θ = 33.52°, I = 40
- (1 0 3), 2θ = 39.36°, I = 100
- (0 0 6), 2θ = 43.31°, I = 19
- (1 1 0), 2θ = 46.96°, I = 31
- (1 1 2), 2θ = 49.29°, I = 17
- (1 1 4), 2θ = 55.84°, I = 12
- (1 1 6), 2θ = 65.79°, I = 22
- (1 0 9), 2θ = 76.79°, I = 14


For LiWAu, a PBE-relaxed structure gives the simulated PXRD pattern in this record (CuKα).
Peak positions follow from Bragg's law for the DFT cell and can differ from measured ones.

```
data_LiWAu
_space_group_name_H-M_alt 'P n m a'
_space_group_IT_number 62
_cell_length_a 5.776
_cell_length_b 3.771
_cell_length_c 8.599
_cell_angle_alpha 90.00
_cell_angle_beta 90.00
_cell_angle_gamma 90.00
loop_
_space_group_symop_operation_xyz
'x,y,z'
'-x,-y,-z'
'-x+1/2,-y,z+1/2'
'x+1/2,y,-z+1/2'
'x+1/2,-y+1/2,-z+1/2'
'-x+1/2,y+1/2,z+1/2'
'-x,y+1/2,-z'
'x,-y+1/2,z'
loop_
_atom_site_label
_atom_site_fract_x
_atom_site_fract_y
_atom_site_fract_z
_atom_site_occupancy
Li1 0.140 0.250 0.242 1
W1 0.108 0.250 0.566 1
Au1 0.109 0.250 0.894 1
```

The 10 most intense peaks (10 to 80 degrees two-theta), by angle:
- (0 0 2), 2θ = 20.66°, I = 48
- (0 1 1), 2θ = 25.80°, I = 79
- (2 0 1), 2θ = 32.71°, I = 40
- (2 1 0), 2θ = 39.30°, I = 100
- (0 1 3), 2θ = 39.49°, I = 88
- (2 0 3), 2θ = 44.54°, I = 61
- (2 1 2), 2θ = 44.80°, I = 25
- (0 2 0), 2θ = 48.27°, I = 29
- (2 2 3), 2θ = 67.76°, I = 35
- (4 1 3), 2θ = 78.37°, I = 22